Calculated XRD peak list
Compound: ZrCrCuS4
Radiation: Cu Kα (weighted mean of Kα1 and Kα2)
Structure: a GGA-PBE-relaxed structure
Peak positions follow from Bragg's law for the DFT cell and can differ from measured ones.

Principal peaks in the range 5° ≤ 2θ ≤ 70°, low angle first:
index, d [Å], 2θ/deg, I_rel
2 0 0, 5.815, 15.24, 44
2 0 -1, 5.370, 16.51, 39
1 1 -1, 3.090, 28.90, 59
1 1 1, 2.733, 32.77, 67
4 0 -2, 2.685, 33.37, 35
3 1 1, 2.122, 42.62, 70
5 1 -1, 2.112, 42.82, 100
6 0 -2, 2.093, 43.23, 34
0 2 0, 1.794, 50.91, 32
3 1 -3, 1.764, 51.82, 54

Structural model:
```
data_ZrCrCuS4
_symmetry_space_group_name_H-M 'C 1 m 1'
_symmetry_Int_Tables_number 8
_cell_length_a 13.081
_cell_length_b 3.587
_cell_length_c 6.079
_cell_angle_alpha 90.00
_cell_angle_beta 117.24
_cell_angle_gamma 90.00
loop_
_symmetry_equiv_pos_as_xyz
'x,y,z'
'x,-y,z'
'x+1/2,y+1/2,z'
'x+1/2,-y+1/2,z'
loop_
_atom_site_label
_atom_site_type_symbol
_atom_site_fract_x
_atom_site_fract_y
_atom_site_fract_z
_atom_site_occupancy
Zr1 Zr 0.000 0.000 0.000 1
Cr1 Cr 0.018 0.500 0.556 1
Cu1 Cu 0.258 0.000 0.272 1
S1 S 0.126 0.500 0.320 1
S2 S 0.140 0.000 0.823 1
S3 S 0.374 0.000 0.715 1
S4 S 0.398 0.500 0.283 1
```

---

Calculated XRD peak list
Compound: ZrCrCuS4
Radiation: Cu Kα (weighted mean of Kα1 and Kα2)
Structure: a GGA-PBE-relaxed structure
Peak positions follow from Bragg's law for the DFT cell and can differ from measured ones.

Principal peaks in the range 5° ≤ 2θ ≤ 70°, low angle first:
index, d [Å], 2θ/deg, I_rel
0 1 1, 6.114, 14.49, 100
1 0 2, 4.597, 19.31, 74
0 2 0, 3.542, 25.14, 78
2 1 1, 3.050, 29.29, 46
1 1 4, 2.592, 34.60, 75
1 2 3, 2.493, 36.03, 29
2 2 2, 2.307, 39.04, 43
1 2 4, 2.189, 41.24, 44
3 1 2, 2.090, 43.28, 46
2 2 6, 1.572, 58.75, 28

Structural model:
```
data_ZrCrCuS4
_symmetry_space_group_name_H-M 'P n m a'
_symmetry_Int_Tables_number 62
_cell_length_a 7.037
_cell_length_b 7.084
_cell_length_c 12.133
_cell_angle_alpha 90.00
_cell_angle_beta 90.00
_cell_angle_gamma 90.00
loop_
_symmetry_equiv_pos_as_xyz
'x,y,z'
'-x,-y,-z'
'-x+1/2,-y,z+1/2'
'x+1/2,y,-z+1/2'
'x+1/2,-y+1/2,-z+1/2'
'-x+1/2,y+1/2,z+1/2'
'-x,y+1/2,-z'
'x,-y+1/2,z'
loop_
_atom_site_label
_atom_site_type_symbol
_atom_site_fract_x
_atom_site_fract_y
_atom_site_fract_z
_atom_site_occupancy
Zr1 Zr 0.008 0.250 0.180 1
Cr1 Cr 0.136 0.250 0.431 1
Cu1 Cu 0.215 0.250 0.900 1
S1 S 0.094 0.750 0.028 1
S2 S 0.177 0.750 0.578 1
S3 S 0.213 0.020 0.307 1
```